Simulated powder X-ray diffraction pattern
Compound: Mg6SnCO8
Radiation: CuKα
Structure: a PBE-relaxed structure

Structure:
a = 4.378 Å, b = 4.378 Å, c = 8.713 Å
α = 90.00°, β = 90.00°, γ = 90.00°
Sites, in units of the cell vectors:
Mg1 0.000 0.000 0.000
Mg2 0.000 0.500 0.245
Mg3 0.000 0.500 0.755
Mg4 0.500 0.000 0.245
Mg5 0.500 0.000 0.755
Mg6 0.500 0.500 0.000
Sn1 0.000 0.000 0.500
C1 0.500 0.500 0.500
O1 0.000 0.000 0.238
O2 0.000 0.000 0.762
O3 0.000 0.500 0.000
O4 0.000 0.500 0.500
O5 0.500 0.000 0.000
O6 0.500 0.000 0.500
O7 0.500 0.500 0.239
O8 0.500 0.500 0.761

Most intense lines, 2θ = 10–90°, most intense first:
2θ 41.2, I = 100.0, (2 0 0)
2θ 22.7, I = 65.0, (1 0 1)
2θ 59.9, I = 58.0, (2 0 4)
2θ 20.3, I = 54.3, (1 0 0)
2θ 41.5, I = 48.4, (0 0 4)
2θ 28.9, I = 46.9, (1 0 2)
2θ 35.6, I = 42.3, (1 1 2)
2θ 10.2, I = 40.8, (0 0 1)



Simulated powder X-ray diffraction pattern
Compound: SrMg6CO8
Radiation: CuKα
Structure: a PBE-relaxed structure

Structure:
a = 4.465 Å, b = 4.465 Å, c = 8.653 Å
α = 90.00°, β = 90.00°, γ = 90.00°
Sites, in units of the cell vectors:
Sr1 0.000 0.000 0.000
Mg1 0.000 0.500 0.264
Mg2 0.000 0.500 0.736
Mg3 0.500 0.000 0.264
Mg4 0.500 0.000 0.736
Mg5 0.500 0.500 0.000
Mg6 0.500 0.500 0.500
C1 0.000 0.000 0.500
O1 0.000 0.000 0.275
O2 0.000 0.000 0.725
O3 0.000 0.500 0.000
O4 0.000 0.500 0.500
O5 0.500 0.000 0.000
O6 0.500 0.000 0.500
O7 0.500 0.500 0.253
O8 0.500 0.500 0.747

Most intense lines, 2θ = 10–90°, most intense first:
2θ 40.4, I = 100.0, (2 0 0)
2θ 59.5, I = 53.3, (2 0 4)
2θ 41.8, I = 47.1, (0 0 4)
2θ 10.2, I = 32.7, (0 0 1)
2θ 22.4, I = 32.7, (1 0 1)
2θ 35.2, I = 29.4, (1 1 2)
2θ 58.5, I = 29.2, (2 2 0)
2θ 74.4, I = 24.2, (2 2 4)



Simulated powder X-ray diffraction pattern
Compound: SrMg6CO8
Radiation: CuKα
Structure: a PBE-relaxed structure

Structure:
a = 4.440 Å, b = 4.440 Å, c = 8.741 Å
α = 90.00°, β = 90.00°, γ = 90.00°
Sites, in units of the cell vectors:
Sr1 0.000 0.000 0.000
Mg1 0.000 0.000 0.500
Mg2 0.000 0.500 0.258
Mg3 0.000 0.500 0.742
Mg4 0.500 0.000 0.258
Mg5 0.500 0.000 0.742
Mg6 0.500 0.500 0.500
C1 0.500 0.500 0.000
O1 0.000 0.000 0.272
O2 0.000 0.000 0.728
O3 0.000 0.500 0.000
O4 0.000 0.500 0.500
O5 0.500 0.000 0.000
O6 0.500 0.000 0.500
O7 0.500 0.500 0.253
O8 0.500 0.500 0.747

Most intense lines, 2θ = 10–90°, most intense first:
2θ 40.6, I = 100.0, (2 0 0)
2θ 59.3, I = 54.6, (2 0 4)
2θ 41.3, I = 45.8, (0 0 4)
2θ 22.5, I = 33.6, (1 0 1)
2θ 35.2, I = 30.4, (1 1 2)
2θ 58.8, I = 29.1, (2 2 0)
2θ 74.4, I = 25.4, (2 2 4)
2θ 20.0, I = 24.8, (1 0 0)



Simulated powder X-ray diffraction pattern
Compound: YMg6CO8
Radiation: CuKα
Structure: a PBE-relaxed structure

Structure:
a = 4.366 Å, b = 4.366 Å, c = 8.904 Å
α = 90.00°, β = 90.00°, γ = 90.00°
Sites, in units of the cell vectors:
Y1 0.000 0.000 0.000
Mg1 0.000 0.000 0.500
Mg2 0.000 0.500 0.262
Mg3 0.000 0.500 0.738
Mg4 0.500 0.000 0.262
Mg5 0.500 0.000 0.738
Mg6 0.500 0.500 0.500
C1 0.500 0.500 0.000
O1 0.000 0.000 0.260
O2 0.000 0.000 0.740
O3 0.000 0.500 0.000
O4 0.000 0.500 0.500
O5 0.500 0.000 0.000
O6 0.500 0.000 0.500
O7 0.500 0.500 0.272
O8 0.500 0.500 0.728

Most intense lines, 2θ = 10–90°, most intense first:
2θ 41.4, I = 100.0, (2 0 0)
2θ 59.3, I = 56.7, (2 0 4)
2θ 40.5, I = 50.5, (0 0 4)
2θ 22.7, I = 45.4, (1 0 1)
2θ 35.4, I = 32.3, (1 1 2)
2θ 59.9, I = 30.4, (2 2 0)
2θ 20.3, I = 27.6, (1 0 0)
2θ 74.9, I = 25.6, (2 2 4)



Simulated powder X-ray diffraction pattern
Compound: YMg6CO8
Radiation: CuKα
Structure: a PBE-relaxed structure

Structure:
a = 4.367 Å, b = 4.367 Å, c = 9.037 Å
α = 90.00°, β = 90.00°, γ = 90.00°
Sites, in units of the cell vectors:
Y1 0.000 0.000 0.000
Mg1 0.000 0.500 0.276
Mg2 0.000 0.500 0.724
Mg3 0.500 0.000 0.276
Mg4 0.500 0.000 0.724
Mg5 0.500 0.500 0.000
Mg6 0.500 0.500 0.500
C1 0.000 0.000 0.500
O1 0.000 0.000 0.244
O2 0.000 0.000 0.756
O3 0.000 0.500 0.000
O4 0.000 0.500 0.500
O5 0.500 0.000 0.000
O6 0.500 0.000 0.500
O7 0.500 0.500 0.251
O8 0.500 0.500 0.749

Most intense lines, 2θ = 10–90°, most intense first:
2θ 41.3, I = 100.0, (2 0 0)
2θ 58.8, I = 54.3, (2 0 4)
2θ 39.9, I = 49.8, (0 0 4)
2θ 22.6, I = 44.5, (1 0 1)
2θ 30.6, I = 30.2, (1 1 1)
2θ 35.2, I = 29.7, (1 1 2)
2θ 59.9, I = 28.8, (2 2 0)
2θ 74.4, I = 24.2, (2 2 4)



Simulated powder X-ray diffraction pattern
Compound: Mg14ZnCO16
Radiation: CuKα
Structure: a PBE-relaxed structure

Structure:
a = 4.241 Å, b = 8.515 Å, c = 8.523 Å
α = 90.00°, β = 90.00°, γ = 90.00°
Sites, in units of the cell vectors:
Mg1 0.000 0.000 0.000
Mg2 0.000 0.248 0.252
Mg3 0.000 0.248 0.748
Mg4 0.000 0.500 0.000
Mg5 0.000 0.752 0.252
Mg6 0.000 0.752 0.748
Mg7 0.500 0.000 0.254
Mg8 0.500 0.000 0.746
Mg9 0.500 0.246 0.500
Mg10 0.500 0.250 0.000
Mg11 0.500 0.500 0.250
Mg12 0.500 0.500 0.750
Mg13 0.500 0.750 0.000
Mg14 0.500 0.754 0.500
Zn1 0.000 0.500 0.500
C1 0.000 0.000 0.500
O1 0.000 0.000 0.249
O2 0.000 0.000 0.751
O3 0.000 0.248 0.500
O4 0.000 0.249 0.000
O5 0.000 0.500 0.247
O6 0.000 0.500 0.753
O7 0.000 0.751 0.000
O8 0.000 0.752 0.500
O9 0.500 0.000 0.000
O10 0.500 0.000 0.500
O11 0.500 0.250 0.252
O12 0.500 0.250 0.748
O13 0.500 0.500 0.000
O14 0.500 0.500 0.500
O15 0.500 0.750 0.252
O16 0.500 0.750 0.748

Most intense lines, 2θ = 10–90°, most intense first:
2θ 42.4, I = 100.0, (0 4 0)
2θ 61.7, I = 55.7, (2 4 0)
2θ 42.6, I = 49.3, (2 0 0)
2θ 61.6, I = 28.0, (0 4 4)
2θ 77.8, I = 25.2, (2 4 4)
2θ 36.6, I = 20.4, (1 2 2)
2θ 10.4, I = 12.6, (0 1 0)
2θ 14.7, I = 9.1, (0 1 1)



Number 6 is which compound?
Mg14ZnCO16